# PrZn2PIr2
Simulated X-ray diffraction stick pattern, Cu Kα (weighted mean of Kα1 and Kα2). Input: a crystal structure in Alexandria, relaxed with GGA-PBE.
Peak positions follow from Bragg's law for the DFT cell and can differ from measured ones.

Structural model:
a = 4.4998 Å, b = 4.4998 Å, c = 5.6291 Å
α = 90.00°, β = 90.00°, γ = 90.00°
Sites, in units of the cell vectors:
Pr: 0.0000 0.0000 0.0000
Zn: 0.5000 0.5000 0.2269
Zn: 0.5000 0.5000 0.7731
P: 0.0000 0.0000 0.5000
Ir: 0.0000 0.5000 0.5000
Ir: 0.5000 0.0000 0.5000

Peak list (8 most intense, 2θ from 10° to 90°, low angle first)
index	d/Å	intensity
0 0 1	5.629	33
1 1 1	2.770	100
1 0 2	2.386	24
2 0 0	2.250	52
1 1 2	2.108	21
2 0 2	1.757	18
2 2 0	1.591	17
3 1 1	1.380	24